This entry pairs a crystal structure of Ba3Fe2Cl2O5 with its computed powder XRD pattern. Radiation: Cu Kα (weighted mean of Kα1 and Kα2). Structure: a DFT-relaxed cell (PBE+U, Alexandria).
Lines closer than 0.1° are merged.

Structural model:
a b c (Å): 8.7988 8.7988 8.7988
angles (deg): 109.47 109.47 109.47
Sites, in units of the cell vectors:
Ba 0.0927 0.8427 0.2500
Ba 0.2500 0.0927 0.8427
Ba 0.4073 0.6573 0.7500
Ba 0.6573 0.7500 0.4073
Ba 0.7500 0.4073 0.6573
Ba 0.8427 0.2500 0.0927
Fe 0.0000 0.1921 0.5000
Fe 0.1921 0.5000 0.0000
Fe 0.3079 0.3079 0.3079
Fe 0.5000 0.0000 0.1921
Cl 0.0000 0.6155 0.5000
Cl 0.5000 0.0000 0.6155
Cl 0.6155 0.5000 0.0000
Cl 0.8845 0.8845 0.8845
O 0.0000 0.9809 0.5000
O 0.1050 0.2500 0.3550
O 0.1450 0.3950 0.7500
O 0.2500 0.3550 0.1050
O 0.3550 0.1050 0.2500
O 0.3950 0.7500 0.1450
O 0.5000 0.0000 0.9809
O 0.5191 0.5191 0.5191
O 0.7500 0.1450 0.3950
O 0.9809 0.5000 0.0000

The 6 most intense peaks (10° ≤ 2θ ≤ 80°), low angle first:
| Position (°2θ) | Rel. int. |
| --- | --- |
| 21.4 | 66 |
| 27.8 | 100 |
| 33.0 | 74 |
| 39.7 | 38 |
| 45.5 | 31 |
| 55.8 | 38 |